Record 1
Calculated PXRD pattern of KCo2O4 for Cu Kα, from DFT lattice parameters and positions (GGA+U).
Peak positions follow from Bragg's law for the DFT cell and can differ from measured ones.

Atomic structure:
a b c (Å): 3.0469 3.0469 11.9149
angles (deg): 90.00 90.00 120.00
Space group P-6m2 (No. 187)
One atom of each set of equivalent atoms:
K 0.0000 0.0000 0.0000
Co 0.6667 0.3333 0.2553
O 0.0000 0.0000 0.3272
O 0.3333 0.6667 0.1644

Largest 12 diffraction maxima, by intensity, 2θ from 10° to 90°:
| Position (°2θ) | I_rel | h k l |
| --- | --- | --- |
| 14.87 | 100 | 0 0 2 |
| 37.27 | 71 | 1 0 2 |
| 45.95 | 34 | 1 0 4 |
| 58.14 | 30 | 1 0 6 |
| 41.07 | 25 | 1 0 3 |
| 30.00 | 22 | 0 0 4 |
| 60.80 | 21 | 1 1 0 |
| 33.97 | 17 | 1 0 0 |
| 69.27 | 11 | 1 1 4 |
| 62.97 | 10 | 1 1 2 |
| 73.52 | 9 | 2 0 2 |
| 89.10 | 8 | 2 0 6 |

***

Record 2
Calculated PXRD pattern of Li2Cr3FeO8 for Cu Kα, from DFT lattice parameters and positions (GGA+U).
Peak positions follow from Bragg's law for the DFT cell and can differ from measured ones.

Atomic structure:
a b c (Å): 5.258 7.761 7.834
angles (deg): 95.20 94.62 108.86
Space group P1 (No. 1)
One atom of each set of equivalent atoms:
Li 0.000 0.000 0.000
Li 0.242 0.244 0.741
Li 0.493 0.493 0.490
Li 0.745 0.742 0.245
Cr 0.039 0.562 0.680
Cr 0.199 0.673 0.055
Cr 0.299 0.809 0.430
Cr 0.450 0.927 0.806
Cr 0.793 0.313 0.931
Cr 0.951 0.426 0.306
Fe 0.543 0.066 0.183
Fe 0.699 0.176 0.555
O 0.077 0.356 0.535
O 0.086 0.769 0.844
O 0.153 0.458 0.880
O 0.172 0.887 0.215
O 0.325 0.600 0.278
O 0.328 0.020 0.605
O 0.412 0.714 0.635
O 0.425 0.143 0.953
O 0.564 0.847 0.016
O 0.582 0.278 0.353
O 0.654 0.951 0.391
O 0.677 0.400 0.714
O 0.820 0.102 0.783
O 0.831 0.517 0.095
O 0.913 0.211 0.131
O 0.934 0.647 0.463

Largest 12 diffraction maxima, by intensity, 2θ from 10° to 90°:
| Position (°2θ) | I_rel | h k l |
| --- | --- | --- |
| 18.02 | 100 | 1 -1 0 |
| 42.37 | 19 | 2 1 -1 |
| 42.51 | 19 | 1 -2 3 |
| 43.95 | 18 | -1 3 2 |
| 62.79 | 14 | 1 4 1 |
| 35.86 | 12 | 0 2 2 |
| 35.34 | 11 | 1 2 -1 |
| 35.41 | 11 | 0 1 -3 |
| 62.66 | 9 | 1 3 -4 |
| 36.55 | 6 | 2 -2 0 |
| 55.68 | 5 | 3 0 -1 |
| 55.87 | 5 | 2 -3 3 |

***

Record 3
Calculated PXRD pattern of TiMn3Te2P6O24 for Cu Kα, from DFT lattice parameters and positions (GGA+U).
Peak positions follow from Bragg's law for the DFT cell and can differ from measured ones.

Atomic structure:
a b c (Å): 8.8681 8.8681 21.8044
angles (deg): 90.00 90.00 120.00
Space group R3 (No. 146, hexagonal axes)
One atom of each set of equivalent atoms:
Ti 0.0000 0.0000 0.0000
Mn 0.0000 0.0000 0.1972
Mn 0.0000 0.0000 0.5043
Mn 0.0000 0.0000 0.6907
Te 0.0000 0.0000 0.3420
Te 0.0000 0.0000 0.8345
P 0.0013 0.2946 0.1035
P 0.0028 0.6962 0.6063
O 0.0029 0.8320 0.9397
O 0.0036 0.2173 0.1643
O 0.0068 0.7853 0.5468
O 0.0149 0.1757 0.7740
O 0.1212 0.6753 0.3315
O 0.1565 0.4781 0.0916
O 0.1590 0.4694 0.7151
O 0.1669 0.6696 0.9428

Largest 12 diffraction maxima, by intensity, 2θ from 10° to 90°:
| Position (°2θ) | I_rel | h k l |
| --- | --- | --- |
| 31.85 | 100 | 2 -1 6 |
| 20.02 | 91 | 1 1 0 |
| 23.50 | 62 | 2 -1 3 |
| 35.05 | 41 | 3 0 0 |
| 48.07 | 35 | 4 -2 6 |
| 54.75 | 31 | 4 1 0 |
| 60.87 | 29 | 5 -1 6 |
| 24.56 | 28 | 2 0 2 |
| 14.11 | 26 | 0 1 2 |
| 43.23 | 20 | 3 0 6 |
| 45.67 | 20 | 3 -2 8 |
| 62.73 | 12 | 0 3 12 |

***

Record 4
Calculated PXRD pattern of V3OF11 for Cu Kα, from DFT lattice parameters and positions (GGA+U).
Peak positions follow from Bragg's law for the DFT cell and can differ from measured ones.

Atomic structure:
a b c (Å): 5.274 5.457 14.753
angles (deg): 100.32 90.02 90.08
Space group P1 (No. 1)
One atom of each set of equivalent atoms:
V 0.000 0.000 0.000
V 0.002 0.678 0.327
V 0.011 0.333 0.661
V 0.486 0.208 0.331
V 0.505 0.498 0.993
V 0.510 0.834 0.661
O 0.306 0.459 0.350
O 0.932 0.046 0.109
F 0.097 0.291 0.543
F 0.099 0.617 0.210
F 0.103 0.958 0.878
F 0.209 0.643 0.685
F 0.213 0.303 0.018
F 0.221 0.976 0.352
F 0.303 0.803 0.018
F 0.313 0.144 0.685
F 0.425 0.791 0.543
F 0.429 0.456 0.875
F 0.439 0.106 0.211
F 0.598 0.874 0.778
F 0.599 0.540 0.109
F 0.604 0.199 0.442
F 0.709 0.523 0.636
F 0.718 0.193 0.967
F 0.718 0.861 0.303
F 0.797 0.364 0.303
F 0.807 0.698 0.968
F 0.812 0.023 0.636
F 0.924 0.376 0.778
F 0.935 0.705 0.445

Largest 12 diffraction maxima, by intensity, 2θ from 10° to 90°:
| Position (°2θ) | I_rel | h k l |
| --- | --- | --- |
| 25.21 | 100 | -1 1 1 |
| 18.34 | 74 | 0 0 3 |
| 25.27 | 33 | 1 1 -2 |
| 47.98 | 22 | 2 2 -1 |
| 39.09 | 14 | 2 -1 2 |
| 53.23 | 12 | 1 -1 8 |
| 37.16 | 12 | 0 0 6 |
| 32.82 | 12 | 0 2 -1 |
| 54.12 | 11 | 1 3 0 |
| 41.05 | 10 | 1 0 -6 |
| 41.59 | 10 | 1 2 2 |
| 51.86 | 9 | 2 2 -4 |